No. 1
Calculated powder diffraction line list
Compound: Dy3Er3Si4
Radiation: Cu Ka
Structure: DFT lattice parameters and positions (GGA-PBE)

Atomic structure:
Cell: 4.208 10.521 10.505 Å, 90.00 90.00 90.00°
Space group Amm2 (No. 38)
Asymmetric unit:
Dy 0.000 0.000 0.000 [2 per cell]
Dy 0.000 0.176 0.325 [4 per cell]
Er 0.000 0.000 0.648 [2 per cell]
Er 0.500 0.250 0.074 [4 per cell]
Si 0.500 0.000 0.208 [2 per cell]
Si 0.500 0.000 0.443 [2 per cell]
Si 0.500 0.117 0.823 [4 per cell]

The 10 most intense peaks (2θ = 15–90°), by angle:
d 3.324, 26.8°, intensity 44, hkl 0 1 3
d 3.285, 27.1°, intensity 45, hkl 1 2 0
d 2.786, 32.1°, intensity 100, hkl 1 2 2
d 2.628, 34.1°, intensity 25, hkl 0 4 0
d 2.608, 34.4°, intensity 92, hkl 1 1 3
d 2.351, 38.3°, intensity 52, hkl 0 2 4
d 2.104, 43.0°, intensity 25, hkl 2 0 0
d 1.657, 55.4°, intensity 23, hkl 1 5 3
d 1.617, 56.9°, intensity 32, hkl 1 6 0
d 1.568, 58.9°, intensity 30, hkl 2 2 4


No. 2
Calculated powder diffraction line list
Compound: Sm2Dy12Er
Radiation: Cu Ka
Structure: DFT lattice parameters and positions (GGA-PBE)

Atomic structure:
Cell: 7.086 11.192 24.372 Å, 90.00 94.13 90.00°
Space group C2/m (No. 12)
Asymmetric unit:
Sm 0.066 0.000 0.271 [4 per cell]
Sm 0.069 0.500 0.272 [4 per cell]
Dy 0.018 0.250 0.073 [8 per cell]
Dy 0.112 0.252 0.445 [8 per cell]
Dy 0.141 0.000 0.574 [4 per cell]
Dy 0.144 0.500 0.572 [4 per cell]
Dy 0.167 0.251 0.670 [8 per cell]
Dy 0.200 0.249 0.800 [8 per cell]
Dy 0.216 0.500 0.864 [4 per cell]
Dy 0.217 0.000 0.865 [4 per cell]
Er 0.250 0.000 0.001 [4 per cell]

The 10 most intense peaks (2θ = 15–90°), by angle:
d 2.948, 30.3°, intensity 100, hkl 0 2 7
d 2.861, 31.3°, intensity 49, hkl 2 2 2
d 2.798, 32.0°, intensity 70, hkl 0 4 0
d 2.764, 32.4°, intensity 35, hkl 2 0 -6
d 2.749, 32.6°, intensity 62, hkl 2 2 -4
d 2.670, 33.6°, intensity 39, hkl 0 2 8
d 1.967, 46.2°, intensity 27, hkl 2 4 -6
d 1.772, 51.6°, intensity 20, hkl 4 0 -1
d 1.543, 59.9°, intensity 20, hkl 2 2 13
d 1.497, 62.0°, intensity 21, hkl 4 4 -1